Record 1
Diffraction record for Ac2PuS3. The powder diffraction line list is simulated, not measured: it uses DFT lattice parameters and positions (GGA-PBE) and Cu Kα X-rays.
Peak positions follow from Bragg's law for the DFT cell and can differ from measured ones.

Cell and atoms:
Cell: 7.2636 7.2636 7.3136 Å, 99.54 99.54 119.99°
Fractional positions:
Ac1 0.0000 0.0000 0.0000
Ac2 0.1633 0.8367 0.5000
Ac3 0.5000 0.5000 0.5000
Ac4 0.8367 0.1633 0.5000
Pu1 0.3327 0.6673 0.0000
Pu2 0.6673 0.3327 0.0000
S1 0.0788 0.4252 0.2355
S2 0.2702 0.2702 0.7693
S3 0.4252 0.0788 0.2355
S4 0.5748 0.9212 0.7645
S5 0.7298 0.7298 0.2307
S6 0.9212 0.5748 0.7645

Largest 12 diffraction maxima, sorted by position, 2θ = 15–90°:
- 2θ = 25.8°, I = 26.4
- 2θ = 26.0°, I = 77.6
- 2θ = 30.1°, I = 100.0
- 2θ = 42.9°, I = 37.8
- 2θ = 43.1°, I = 37.4
- 2θ = 50.8°, I = 13.9
- 2θ = 51.0°, I = 27.3
- 2θ = 51.1°, I = 13.5
- 2θ = 53.5°, I = 20.0
- 2θ = 62.5°, I = 12.5
- 2θ = 71.0°, I = 17.2
- 2θ = 78.9°, I = 12.9

=====

Record 2
Diffraction record for RbGeSbS3. The powder diffraction line list is simulated, not measured: it uses DFT lattice parameters and positions (GGA-PBE) and Cu Kα X-rays.
Peak positions follow from Bragg's law for the DFT cell and can differ from measured ones.

Cell and atoms:
Cell: 8.5546 3.9246 11.1502 Å, 90.00 109.37 90.00°
Fractional positions:
Rb1 0.2463 0.2500 0.2890
Rb2 0.7537 0.7500 0.7110
Ge1 0.1263 0.2500 0.5666
Ge2 0.8737 0.7500 0.4334
Sb1 0.3583 0.7500 0.8452
Sb2 0.6417 0.2500 0.1548
S1 0.0985 0.2500 0.7650
S2 0.3275 0.7500 0.5969
S3 0.4164 0.7500 0.1156
S4 0.5836 0.2500 0.8844
S5 0.6725 0.2500 0.4031
S6 0.9015 0.7500 0.2350

Largest 12 diffraction maxima, sorted by position, 2θ = 15–90°:
- 2θ = 22.9°, I = 40.3
- 2θ = 24.2°, I = 32.8
- 2θ = 27.8°, I = 75.8
- 2θ = 31.0°, I = 49.5
- 2θ = 31.8°, I = 100.0
- 2θ = 32.1°, I = 68.1
- 2θ = 33.3°, I = 31.7
- 2θ = 36.0°, I = 32.4
- 2θ = 39.1°, I = 33.7
- 2θ = 45.9°, I = 38.1
- 2θ = 46.3°, I = 30.2
- 2θ = 57.4°, I = 25.0

=====

Record 3
Diffraction record for Tl3Cd3Ga. The powder diffraction line list is simulated, not measured: it uses DFT lattice parameters and positions (GGA-PBE) and Cu Kα X-rays.
Peak positions follow from Bragg's law for the DFT cell and can differ from measured ones.

Cell and atoms:
Cell: 8.2080 8.2080 8.2080 Å, 90.00 90.00 90.00°
Fractional positions:
Tl1 0.0000 0.2500 0.5000
Tl2 0.0000 0.7500 0.5000
Tl3 0.2500 0.5000 0.0000
Tl4 0.5000 0.0000 0.2500
Tl5 0.5000 0.0000 0.7500
Tl6 0.7500 0.5000 0.0000
Cd1 0.0000 0.5000 0.2500
Cd2 0.0000 0.5000 0.7500
Cd3 0.2500 0.0000 0.5000
Cd4 0.5000 0.2500 0.0000
Cd5 0.5000 0.7500 0.0000
Cd6 0.7500 0.0000 0.5000
Ga1 0.0000 0.0000 0.0000
Ga2 0.5000 0.5000 0.5000

Largest 12 diffraction maxima, sorted by position, 2θ = 15–90°:
- 2θ = 15.3°, I = 70.0
- 2θ = 21.7°, I = 41.3
- 2θ = 24.2°, I = 22.7
- 2θ = 26.6°, I = 100.0
- 2θ = 34.6°, I = 19.5
- 2θ = 38.0°, I = 65.7
- 2θ = 41.1°, I = 62.6
- 2θ = 44.1°, I = 44.1
- 2θ = 61.9°, I = 18.5
- 2θ = 64.2°, I = 28.6
- 2θ = 70.8°, I = 18.6
- 2θ = 77.1°, I = 25.0

=====

Please write out number 2 again, unchanged.
Diffraction record for RbGeSbS3. The powder diffraction line list is simulated, not measured: it uses DFT lattice parameters and positions (GGA-PBE) and Cu Kα X-rays.
Peak positions follow from Bragg's law for the DFT cell and can differ from measured ones.

Cell and atoms:
Cell: 8.5546 3.9246 11.1502 Å, 90.00 109.37 90.00°
Fractional positions:
Rb1 0.2463 0.2500 0.2890
Rb2 0.7537 0.7500 0.7110
Ge1 0.1263 0.2500 0.5666
Ge2 0.8737 0.7500 0.4334
Sb1 0.3583 0.7500 0.8452
Sb2 0.6417 0.2500 0.1548
S1 0.0985 0.2500 0.7650
S2 0.3275 0.7500 0.5969
S3 0.4164 0.7500 0.1156
S4 0.5836 0.2500 0.8844
S5 0.6725 0.2500 0.4031
S6 0.9015 0.7500 0.2350

Largest 12 diffraction maxima, sorted by position, 2θ = 15–90°:
- 2θ = 22.9°, I = 40.3
- 2θ = 24.2°, I = 32.8
- 2θ = 27.8°, I = 75.8
- 2θ = 31.0°, I = 49.5
- 2θ = 31.8°, I = 100.0
- 2θ = 32.1°, I = 68.1
- 2θ = 33.3°, I = 31.7
- 2θ = 36.0°, I = 32.4
- 2θ = 39.1°, I = 33.7
- 2θ = 45.9°, I = 38.1
- 2θ = 46.3°, I = 30.2
- 2θ = 57.4°, I = 25.0